La14DySc: simulated powder X-ray diffraction pattern (Cu Kα (weighted mean of Kα1 and Kα2)), based on a PBE-relaxed structure.
Intensities are scaled so that the largest is 100.

Structure:
Cell: 10.455 7.351 7.351 Å, 89.96 90.00 90.00°
Element x y z (fractional)
La  0.000  0.000  0.000
La  0.000  0.001  0.499
La  0.000  0.499  0.001
La  0.000  0.500  0.500
La  0.254  0.246  0.754
La  0.254  0.754  0.246
La  0.254  0.754  0.754
La  0.255  0.246  0.246
La  0.500  0.500  0.999
La  0.500  0.999  0.500
La  0.745  0.246  0.246
La  0.746  0.246  0.754
La  0.746  0.754  0.246
La  0.746  0.754  0.754
Dy  0.500  0.500  0.500
Sc  0.500  0.000  0.000

Main lines, low angle first (2θ = 10–80°):
2θ 29.71, I = 100
2θ 34.31, I = 17
2θ 34.51, I = 34
2θ 49.45, I = 24
2θ 58.63, I = 14
2θ 58.90, I = 28

***

DyPuPtRh: simulated powder X-ray diffraction pattern (Cu Kα (weighted mean of Kα1 and Kα2)), based on a PBE-relaxed structure.
Intensities are scaled so that the largest is 100.

Structure:
Cell: 4.213 5.780 5.780 Å, 38.18 90.00 90.00°
Element x y z (fractional)
Dy  0.000  0.000  0.000
Pu  0.500  0.279  0.279
Pt  0.500  0.555  0.555
Rh  0.000  0.737  0.737

Main lines, low angle first (2θ = 10–80°):
2θ 32.85, I = 100
2θ 34.19, I = 17
2θ 39.32, I = 15
2θ 40.51, I = 47
2θ 42.94, I = 20
2θ 48.13, I = 15

***

Y4Ho5: simulated powder X-ray diffraction pattern (Cu Kα (weighted mean of Kα1 and Kα2)), based on a PBE-relaxed structure.
Intensities are scaled so that the largest is 100.

Structure:
Cell: 9.068 9.068 9.068 Å, 157.03 96.35 88.21°
Element x y z (fractional)
Y  0.045  0.189  0.856
Y  0.333  0.189  0.144
Y  0.667  0.811  0.856
Y  0.955  0.811  0.144
Ho  0.000  0.500  0.500
Ho  0.294  0.500  0.794
Ho  0.375  0.875  0.500
Ho  0.625  0.125  0.500
Ho  0.706  0.500  0.206

Main lines, low angle first (2θ = 10–80°):
2θ 29.60, I = 27
2θ 30.26, I = 94
2θ 32.24, I = 100
2θ 33.31, I = 93
2θ 52.87, I = 32
2θ 60.05, I = 26

***

Mn5Fe: simulated powder X-ray diffraction pattern (Cu Kα (weighted mean of Kα1 and Kα2)), based on a PBE-relaxed structure.
Intensities are scaled so that the largest is 100.

Structure:
Cell: 4.699 4.699 5.871 Å, 103.99 103.99 30.58°
Element x y z (fractional)
Mn  0.000  0.000  0.000
Mn  0.056  0.056  0.614
Mn  0.390  0.390  0.281
Mn  0.669  0.669  0.335
Mn  0.726  0.726  0.944
Fe  0.335  0.335  0.669

Main lines, low angle first (2θ = 10–80°):
2θ 42.05, I = 38
2θ 45.46, I = 40
2θ 48.07, I = 100
2θ 48.13, I = 50
2θ 63.62, I = 13
2θ 76.77, I = 14

***

Hg3Pd2Se: simulated powder X-ray diffraction pattern (Cu Kα (weighted mean of Kα1 and Kα2)), based on a PBE-relaxed structure.
Intensities are scaled so that the largest is 100.

Structure:
Cell: 6.694 6.694 6.635 Å, 90.00 90.00 120.00°
Element x y z (fractional)
Hg  0.166  0.332  0.320
Hg  0.166  0.834  0.320
Hg  0.332  0.166  0.680
Hg  0.668  0.834  0.320
Hg  0.834  0.166  0.680
Hg  0.834  0.668  0.680
Pd  0.000  0.000  0.000
Pd  0.000  0.500  0.000
Pd  0.500  0.000  0.000
Pd  0.500  0.500  0.000
Se  0.333  0.667  0.769
Se  0.667  0.333  0.231

Main lines, low angle first (2θ = 10–80°):
2θ 33.75, I = 100
2θ 40.80, I = 15
2θ 41.36, I = 49
2θ 54.86, I = 25
2θ 65.98, I = 15
2θ 70.58, I = 18

***

Er4Al5Si2: simulated powder X-ray diffraction pattern (Cu Kα (weighted mean of Kα1 and Kα2)), based on a PBE-relaxed structure.
Intensities are scaled so that the largest is 100.

Structure:
Cell: 6.807 4.274 8.000 Å, 90.00 93.71 90.00°
Element x y z (fractional)
Er  0.211  0.000  0.364
Er  0.239  0.000  0.909
Er  0.761  0.000  0.091
Er  0.789  0.000  0.636
Al  0.140  0.500  0.630
Al  0.454  0.500  0.163
Al  0.500  0.500  0.500
Al  0.546  0.500  0.837
Al  0.860  0.500  0.370
Si  0.082  0.500  0.133
Si  0.918  0.500  0.867

Main lines, low angle first (2θ = 10–80°):
2θ 20.78, I = 68
2θ 25.14, I = 61
2θ 26.24, I = 51
2θ 32.83, I = 100
2θ 33.70, I = 100
2θ 34.01, I = 95